No. 1
The following is a computed powder X-ray diffraction pattern of Li2NiB10. It was derived from DFT lattice parameters and positions (PBE), using Cu Kα (λ = 1.5418 Å).
No peak broadening, texture or thermal motion is included.

Peak list (12 most intense, 10 to 90 degrees two-theta, by intensity)
2θ/deg, intensity
18.0, 100
21.3, 81
39.1, 57
16.0, 50
28.0, 50
36.3, 34
55.1, 31
22.8, 27
26.7, 24
46.5, 23
42.5, 22
49.4, 21

Cell lengths 5.5206, 11.0682, 4.1789 Å; angles 90.00, 90.00, 90.00 degrees
Space group Pbam (No. 55)
Symmetry-distinct sites (fractional):
Li 0.2322 0.1191 0.0000 (multiplicity 4)
Ni 0.0000 0.5000 0.5000 (multiplicity 2)
B 0.0220 0.3149 0.5000 (multiplicity 4)
B 0.1172 0.9536 0.5000 (multiplicity 4)
B 0.1720 0.7982 0.5000 (multiplicity 4)
B 0.1998 0.3837 0.1956 (multiplicity 8)

No. 2
The following is a computed powder X-ray diffraction pattern of Ac4Pr4Ho. It was derived from DFT lattice parameters and positions (PBE), using Cu Kα (λ = 1.5418 Å).
No peak broadening, texture or thermal motion is included.

Peak list (12 most intense, 10 to 90 degrees two-theta, by intensity)
2θ/deg, intensity
28.6, 100
33.2, 51
56.5, 46
47.6, 38
77.0, 19
79.4, 17
88.8, 13
59.3, 13
69.7, 6
18.2, 2
10.9, 1
23.9, 1

Cell lengths 11.4486, 11.4486, 5.4021 Å; angles 90.00, 90.00, 90.00 degrees
Space group I4/mmm (No. 139)
Symmetry-distinct sites (fractional):
Ac 0.1656 0.1656 0.0000 (multiplicity 8)
Pr 0.0000 0.3365 0.5000 (multiplicity 8)
Ho 0.0000 0.0000 0.5000 (multiplicity 2)

No. 3
The following is a computed powder X-ray diffraction pattern of DyZr2Se6. It was derived from DFT lattice parameters and positions (PBE), using Cu Kα (λ = 1.5418 Å).
No peak broadening, texture or thermal motion is included.

Peak list (12 most intense, 10 to 90 degrees two-theta, by intensity)
2θ/deg, intensity
19.2, 100
38.2, 96
29.6, 83
47.6, 61
39.0, 47
30.6, 28
26.2, 26
83.2, 25
61.4, 23
76.8, 22
45.5, 22
49.8, 17

Cell lengths 6.5350, 6.5350, 11.9663 Å; angles 90.00, 90.00, 90.00 degrees
Space group P4_2/mnm (No. 136)
Symmetry-distinct sites (fractional):
Dy 0.0000 0.0000 0.0000 (multiplicity 2)
Zr 0.0000 0.0000 0.3352 (multiplicity 4)
Se 0.1941 0.1941 0.5000 (multiplicity 4)
Se 0.2054 0.2054 0.1772 (multiplicity 8)

No. 4
The following is a computed powder X-ray diffraction pattern of RePdPt. It was derived from DFT lattice parameters and positions (PBE), using Cu Kα (λ = 1.5418 Å).
No peak broadening, texture or thermal motion is included.

Peak list (12 most intense, 10 to 90 degrees two-theta, by intensity)
2θ/deg, intensity
39.7, 100
44.9, 19
46.1, 15
47.5, 15
83.0, 12
81.0, 11
67.4, 11
68.3, 10
79.2, 7
79.3, 7
21.0, 6
85.5, 6

Cell lengths 8.9759, 3.8315, 5.6462 Å; angles 90.00, 109.70, 90.00 degrees
Space group C2/m (No. 12)
Symmetry-distinct sites (fractional):
Re 0.1817 0.0000 0.3555 (multiplicity 4)
Pd 0.0000 0.5000 0.0000 (multiplicity 2)
Pd 0.0000 0.5000 0.5000 (multiplicity 2)
Pt 0.1670 0.0000 0.8314 (multiplicity 4)

No. 5
The following is a computed powder X-ray diffraction pattern of Th8GaSn2. It was derived from DFT lattice parameters and positions (PBE), using Cu Kα (λ = 1.5418 Å).
No peak broadening, texture or thermal motion is included.

Peak list (12 most intense, 10 to 90 degrees two-theta, by intensity)
2θ/deg, intensity
31.2, 100
31.7, 88
34.0, 38
36.3, 37
50.6, 26
38.9, 22
58.8, 18
54.2, 18
62.1, 15
62.4, 13
59.7, 11
65.0, 11

Cell lengths 18.1539, 4.9546, 7.4877 Å; angles 90.00, 98.75, 90.00 degrees
Space group C2/m (No. 12)
Symmetry-distinct sites (fractional):
Th 0.0328 0.0000 0.2636 (multiplicity 4)
Th 0.0923 0.5000 0.9365 (multiplicity 4)
Th 0.1731 0.5000 0.4239 (multiplicity 4)
Th 0.2237 0.0000 0.1347 (multiplicity 4)
Ga 0.0000 0.5000 0.5000 (multiplicity 2)
Sn 0.1535 0.0000 0.6969 (multiplicity 4)

No. 6
The following is a computed powder X-ray diffraction pattern of Mg3Tc2. It was derived from DFT lattice parameters and positions (PBE), using Cu Kα (λ = 1.5418 Å).
No peak broadening, texture or thermal motion is included.

Peak list (12 most intense, 10 to 90 degrees two-theta, by intensity)
2θ/deg, intensity
37.5, 100
41.5, 47
44.4, 40
73.1, 27
42.6, 26
18.6, 24
52.3, 16
60.1, 15
77.7, 15
32.3, 11
45.8, 9
64.9, 9

Cell lengths 3.0779, 3.0779, 19.1111 Å; angles 90.00, 90.00, 90.00 degrees
Space group I4/mmm (No. 139)
Symmetry-distinct sites (fractional):
Mg 0.0000 0.0000 0.0000 (multiplicity 2)
Mg 0.0000 0.0000 0.3811 (multiplicity 4)
Tc 0.0000 0.0000 0.2143 (multiplicity 4)

No. 7
The following is a computed powder X-ray diffraction pattern of Dy2PaRuO8. It was derived from DFT lattice parameters and positions (PBE), using Cu Kα (λ = 1.5418 Å).
No peak broadening, texture or thermal motion is included.

Peak list (12 most intense, 10 to 90 degrees two-theta, by intensity)
2θ/deg, intensity
31.9, 100
24.7, 60
25.4, 54
48.3, 41
49.0, 37
35.7, 31
61.8, 22
83.9, 15
22.0, 12
66.6, 11
58.5, 10
60.4, 10

Cell lengths 7.0211, 7.2008, 6.7696 Å; angles 90.00, 90.00, 90.00 degrees
Space group Cmmm (No. 65)
Symmetry-distinct sites (fractional):
Dy 0.0000 0.0000 0.2401 (multiplicity 4)
Pa 0.0000 0.5000 0.5000 (multiplicity 2)
Ru 0.0000 0.5000 0.0000 (multiplicity 2)
O 0.0000 0.3193 0.2302 (multiplicity 8)
O 0.1995 0.0000 0.5000 (multiplicity 4)
O 0.2221 0.0000 0.0000 (multiplicity 4)

No. 8
The following is a computed powder X-ray diffraction pattern of DyHfSc. It was derived from DFT lattice parameters and positions (PBE), using Cu Kα (λ = 1.5418 Å).
No peak broadening, texture or thermal motion is included.

Peak list (12 most intense, 10 to 90 degrees two-theta, by intensity)
2θ/deg, intensity
33.2, 100
12.8, 26
38.1, 17
38.6, 17
38.9, 16
27.6, 16
66.9, 14
65.8, 14
66.5, 13
55.4, 12
69.7, 11
55.6, 11

Cell lengths 4.7248, 13.8766, 4.6636 Å; angles 90.00, 90.00, 90.00 degrees
Space group Cmcm (No. 63)
Symmetry-distinct sites (fractional):
Dy 0.0000 0.0833 0.2500 (multiplicity 4)
Hf 0.0000 0.4198 0.2500 (multiplicity 4)
Sc 0.0000 0.2497 0.7500 (multiplicity 4)